# TaReMo2O
Theoretical PXRD pattern, Cu Ka. Input: a structure optimized by DFT (GGA+U).
Peak positions follow from Bragg's law for the DFT cell and can differ from measured ones.

Main lines, in order of rising 2θ (10° ≤ 2θ ≤ 90°):
Position (°2θ)  d (Å)  I/Imax  (hkl)
21.2  4.191  74  0 0 1
30.3  2.951  100  1 1 0
37.3  2.413  1000  1 1 1
43.2  2.096  185  0 0 2
43.4  2.086  366  2 0 0
48.8  1.868  39  2 0 1
53.6  1.709  42  1 1 2
62.9  1.479  240  2 0 2
63.0  1.475  119  2 2 0
75.3  1.263  131  1 1 3
75.5  1.259  259  3 1 1
79.4  1.206  123  2 2 2

Structural model:
```
data_TaReMo2O
_chemical_formula_sum 'Ta1 Re1 Mo2 O1'
_cell_length_a 4.1727
_cell_length_b 4.1727
_cell_length_c 4.1913
_cell_angle_alpha 90.00
_cell_angle_beta 90.00
_cell_angle_gamma 90.00
_symmetry_space_group_name_H-M 'P 4/m m m'
_symmetry_Int_Tables_number 123
_symmetry_space_group_name_Hall '-P 4 2'
loop_
_atom_site_label
_atom_site_type_symbol
_atom_site_fract_x
_atom_site_fract_y
_atom_site_fract_z
Ta1 Ta 0.0000 0.0000 0.0000
Re1 Re 0.5000 0.5000 0.0000
Mo1 Mo 0.0000 0.5000 0.5000
O1 O 0.0000 0.0000 0.5000
```